Record 1
The following is a simulated XRD peak list of UAu3I9. It was derived from a cell relaxed with PBE, using Cu Kα (λ = 1.5418 Å).
No peak broadening, texture or thermal motion is included.

Crystal structure
```
data_UAu3I9
_cell_length_a 19.9168
_cell_length_b 11.3138
_cell_length_c 14.8536
_cell_angle_alpha 90.00
_cell_angle_beta 131.09
_cell_angle_gamma 90.00
_space_group_name_H-M_alt 'C 1 c 1'
_space_group_IT_number 9
_space_group_name_Hall 'C -2yc'
loop_
_atom_site_label
_atom_site_type_symbol
_atom_site_fract_x
_atom_site_fract_y
_atom_site_fract_z
U1 U 0.0000 0.1890 0.0000
Au1 Au 0.0947 0.2333 0.8750
Au2 Au 0.2079 0.3082 0.7191
Au3 Au 0.2845 0.0666 0.5977
I1 I 0.0520 0.2403 0.2276
I2 I 0.0742 0.3687 0.7009
I3 I 0.1159 0.0120 0.6020
I4 I 0.1492 0.3440 0.0783
I5 I 0.2514 0.1077 0.9608
I6 I 0.3413 0.2529 0.7337
I7 I 0.3551 0.4512 0.4415
I8 I 0.3854 0.1091 0.3905
I9 I 0.4377 0.3827 0.2640
```

Most intense lines, 2θ = 10–80°, low angle first:
d/Å  Rel. int.
5.971  100.0
5.921  17.0
4.517  19.9
3.715  24.3
3.679  28.7
2.988  18.8
2.858  16.7
2.784  18.5
2.775  23.8
2.719  16.9

Record 2
The following is a simulated XRD peak list of PrCuAg2. It was derived from a cell relaxed with PBE, using Cu Kα (λ = 1.5418 Å).
No peak broadening, texture or thermal motion is included.

Crystal structure
```
data_PrCuAg2
_cell_length_a 5.4125
_cell_length_b 13.3787
_cell_length_c 5.3660
_cell_angle_alpha 90.00
_cell_angle_beta 120.18
_cell_angle_gamma 90.00
_space_group_name_H-M_alt 'C 1 2/c 1'
_space_group_IT_number 15
_space_group_name_Hall '-C 2yc'
loop_
_atom_site_label
_atom_site_type_symbol
_atom_site_fract_x
_atom_site_fract_y
_atom_site_fract_z
Pr1 Pr 0.0000 0.1138 0.2500
Cu1 Cu 0.0000 0.4992 0.2500
Ag1 Ag 0.1696 0.3345 0.0907
```

Most intense lines, 2θ = 10–80°, low angle first:
d/Å  Rel. int.
3.345  30.7
3.226  24.9
2.713  20.6
2.634  100.0
2.509  93.5
2.322  46.5
2.299  98.2
2.207  24.9
1.896  26.2
1.472  20.3

Record 3
The following is a simulated XRD peak list of Na3H9Pd4. It was derived from a cell relaxed with PBE, using Cu Kα (λ = 1.5418 Å).
No peak broadening, texture or thermal motion is included.

Crystal structure
```
data_Na3H9Pd4
_cell_length_a 5.0304
_cell_length_b 5.0304
_cell_length_c 21.3037
_cell_angle_alpha 90.00
_cell_angle_beta 90.00
_cell_angle_gamma 120.00
_space_group_name_H-M_alt 'R -3 m'
_space_group_IT_number 166
_space_group_name_Hall '-R 3 2"'
loop_
_atom_site_label
_atom_site_type_symbol
_atom_site_fract_x
_atom_site_fract_y
_atom_site_fract_z
Na1 Na 0.0000 0.0000 0.0000
Na2 Na 0.0000 0.0000 0.4277
H1 H 0.0000 0.5000 0.0000
H2 H 0.0088 0.5044 0.4390
Pd1 Pd 0.0000 0.0000 0.1524
Pd2 Pd 0.0000 0.0000 0.2838
```

Most intense lines, 2θ = 10–80°, low angle first:
d/Å  Rel. int.
4.032  67.5
2.515  100.0
2.495  90.3
2.368  12.1
1.771  33.6
1.724  23.1
1.452  17.4
1.448  32.1
1.437  12.1
1.258  10.8

Record 4
The following is a simulated XRD peak list of Er4Au3. It was derived from a cell relaxed with PBE, using Cu Kα (λ = 1.5418 Å).
No peak broadening, texture or thermal motion is included.

Crystal structure
```
data_Er4Au3
_cell_length_a 4.9843
_cell_length_b 4.9843
_cell_length_c 24.7139
_cell_angle_alpha 90.00
_cell_angle_beta 90.00
_cell_angle_gamma 120.00
_space_group_name_H-M_alt 'R -3 m'
_space_group_IT_number 166
_space_group_name_Hall '-R 3 2"'
loop_
_atom_site_label
_atom_site_type_symbol
_atom_site_fract_x
_atom_site_fract_y
_atom_site_fract_z
Er1 Er 0.0000 0.0000 0.1248
Er2 Er 0.0000 0.0000 0.3755
Au1 Au 0.0000 0.0000 0.0000
Au2 Au 0.0000 0.0000 0.2439
```

Most intense lines, 2θ = 10–80°, low angle first:
d/Å  Rel. int.
4.252  11.1
3.251  9.7
2.512  99.2
2.492  100.0
1.769  35.1
1.454  16.9
1.443  36.0
1.439  18.4
1.256  10.5
1.246  11.6

Record 5
The following is a simulated XRD peak list of MnBeFeNiPb. It was derived from a cell relaxed with PBE, using Cu Kα (λ = 1.5418 Å).
No peak broadening, texture or thermal motion is included.

Crystal structure
```
data_MnBeFeNiPb
_cell_length_a 3.5520
_cell_length_b 3.2707
_cell_length_c 12.7223
_cell_angle_alpha 90.00
_cell_angle_beta 90.00
_cell_angle_gamma 90.00
_space_group_name_H-M_alt 'A m m 2'
_space_group_IT_number 38
_space_group_name_Hall 'A 2 -2'
loop_
_atom_site_label
_atom_site_type_symbol
_atom_site_fract_x
_atom_site_fract_y
_atom_site_fract_z
Mn1 Mn 0.0000 0.0000 0.0000
Be1 Be 0.5000 0.0000 0.1285
Fe1 Fe 0.0000 0.0000 0.6490
Ni1 Ni 0.5000 0.0000 0.5023
Pb1 Pb 0.0000 0.0000 0.3211
```

Most intense lines, 2θ = 10–80°, low angle first:
d/Å  Rel. int.
6.361  21.8
3.552  43.7
3.181  15.4
3.168  38.0
3.101  36.1
2.590  38.9
2.367  35.0
2.120  24.4
2.093  100.0
1.776  15.2

Record 6
The following is a simulated XRD peak list of Ba3P4. It was derived from a cell relaxed with PBE, using Cu Kα (λ = 1.5418 Å).
No peak broadening, texture or thermal motion is included.

Crystal structure
```
data_Ba3P4
_cell_length_a 15.0116
_cell_length_b 18.4237
_cell_length_c 6.2385
_cell_angle_alpha 90.00
_cell_angle_beta 90.00
_cell_angle_gamma 90.00
_space_group_name_H-M_alt 'F d d 2'
_space_group_IT_number 43
_space_group_name_Hall 'F 2 -2d'
loop_
_atom_site_label
_atom_site_type_symbol
_atom_site_fract_x
_atom_site_fract_y
_atom_site_fract_z
Ba1 Ba 0.0000 0.0000 0.0000
Ba2 Ba 0.0045 0.3315 0.0019
P1 P 0.0779 0.0029 0.4911
P2 P 0.0969 0.3258 0.5180
```

Most intense lines, 2θ = 10–80°, low angle first:
d/Å  Rel. int.
4.202  89.2
3.753  43.3
3.294  100.0
2.880  86.9
2.842  83.4
2.476  69.8
2.188  50.7
1.952  23.3
1.927  41.1
1.890  26.8

Record 7
The following is a simulated XRD peak list of Li13Sn5. It was derived from a cell relaxed with PBE, using Cu Kα (λ = 1.5418 Å).
No peak broadening, texture or thermal motion is included.

Crystal structure
```
data_Li13Sn5
_cell_length_a 4.6869
_cell_length_b 4.6869
_cell_length_c 17.0507
_cell_angle_alpha 90.00
_cell_angle_beta 90.00
_cell_angle_gamma 120.00
_space_group_name_H-M_alt 'P -3 m 1'
_space_group_IT_number 164
_space_group_name_Hall '-P 3 2"'
loop_
_atom_site_label
_atom_site_type_symbol
_atom_site_fract_x
_atom_site_fract_y
_atom_site_fract_z
Li1 Li 0.0000 0.0000 0.0000
Li2 Li 0.0000 0.0000 0.1713
Li3 Li 0.0000 0.0000 0.3372
Li4 Li 0.3333 0.6667 0.4468
Li5 Li 0.3333 0.6667 0.6114
Li6 Li 0.3333 0.6667 0.7821
Li7 Li 0.3333 0.6667 0.9456
Sn1 Sn 0.0000 0.0000 0.5000
Sn2 Sn 0.3333 0.6667 0.1085
Sn3 Sn 0.3333 0.6667 0.2786
```

Most intense lines, 2θ = 10–80°, low angle first:
d/Å  Rel. int.
3.949  100.0
3.665  33.4
3.410  22.5
2.940  22.0
2.343  41.8
2.328  41.9
2.089  16.7
2.015  16.8
1.931  28.5
1.350  15.6

Record 8
The following is a simulated XRD peak list of Sr2CaSc. It was derived from a cell relaxed with PBE, using Cu Kα (λ = 1.5418 Å).
No peak broadening, texture or thermal motion is included.

Crystal structure
```
data_Sr2CaSc
_cell_length_a 4.1365
_cell_length_b 6.3136
_cell_length_c 12.6383
_cell_angle_alpha 90.00
_cell_angle_beta 90.00
_cell_angle_gamma 90.00
_space_group_name_H-M_alt 'I m m 2'
_space_group_IT_number 44
_space_group_name_Hall 'I 2 -2'
loop_
_atom_site_label
_atom_site_type_symbol
_atom_site_fract_x
_atom_site_fract_y
_atom_site_fract_z
Sr1 Sr 0.0000 0.0000 0.0000
Sr2 Sr 0.0000 0.5000 0.2245
Ca1 Ca 0.0000 0.5000 0.7677
Sc1 Sc 0.0000 0.0000 0.4875
```

Most intense lines, 2θ = 10–80°, low angle first:
d/Å  Rel. int.
3.931  8.6
3.504  13.0
3.158  53.7
3.035  100.0
2.233  18.4
2.068  8.4
1.799  35.9
1.781  10.0
1.730  17.5
1.517  10.4

Record 9
The following is a simulated XRD peak list of TbY2Mg9. It was derived from a cell relaxed with PBE, using Cu Kα (λ = 1.5418 Å).
No peak broadening, texture or thermal motion is included.

Crystal structure
```
data_TbY2Mg9
_cell_length_a 6.0506
_cell_length_b 6.0506
_cell_length_c 29.0186
_cell_angle_alpha 90.00
_cell_angle_beta 90.00
_cell_angle_gamma 120.00
_space_group_name_H-M_alt 'R -3 m'
_space_group_IT_number 166
_space_group_name_Hall '-R 3 2"'
loop_
_atom_site_label
_atom_site_type_symbol
_atom_site_fract_x
_atom_site_fract_y
_atom_site_fract_z
Tb1 Tb 0.0000 0.0000 0.0000
Y1 Y 0.0000 0.0000 0.1422
Mg1 Mg 0.0000 0.0000 0.3341
Mg2 Mg 0.0000 0.0000 0.5000
Mg3 Mg 0.0052 0.5026 0.9159
```

Most intense lines, 2θ = 10–80°, low angle first:
d/Å  Rel. int.
5.157  56.2
4.836  18.9
3.251  65.4
3.025  67.0
2.982  44.8
2.609  41.7
2.565  100.0
1.787  23.7
1.643  25.2
1.513  19.6

Record 10
The following is a simulated XRD peak list of PaHgBr6. It was derived from a cell relaxed with PBE, using Cu Kα (λ = 1.5418 Å).
No peak broadening, texture or thermal motion is included.

Crystal structure
```
data_PaHgBr6
_cell_length_a 7.2574
_cell_length_b 7.2574
_cell_length_c 19.8751
_cell_angle_alpha 90.00
_cell_angle_beta 90.00
_cell_angle_gamma 120.00
_space_group_name_H-M_alt 'R -3'
_space_group_IT_number 148
_space_group_name_Hall '-R 3'
loop_
_atom_site_label
_atom_site_type_symbol
_atom_site_fract_x
_atom_site_fract_y
_atom_site_fract_z
Pa1 Pa 0.0000 0.0000 0.0000
Hg1 Hg 0.0000 0.0000 0.5000
Br1 Br 0.0110 0.6978 0.9210
```

Most intense lines, 2θ = 10–80°, low angle first:
d/Å  Rel. int.
5.312  100.0
3.898  44.8
3.183  53.9
2.996  22.6
2.446  67.4
2.310  34.1
2.143  22.0
2.095  37.0
1.717  22.9
1.591  17.1

Record 11
The following is a simulated XRD peak list of SrZnAg2. It was derived from a cell relaxed with PBE, using Cu Kα (λ = 1.5418 Å).
No peak broadening, texture or thermal motion is included.

Crystal structure
```
data_SrZnAg2
_cell_length_a 4.2261
_cell_length_b 19.8455
_cell_length_c 4.6126
_cell_angle_alpha 90.00
_cell_angle_beta 90.00
_cell_angle_gamma 90.00
_space_group_name_H-M_alt 'C m c m'
_space_group_IT_number 63
_space_group_name_Hall '-C 2c 2'
loop_
_atom_site_label
_atom_site_type_symbol
_atom_site_fract_x
_atom_site_fract_y
_atom_site_fract_z
Sr1 Sr 0.0000 0.1036 0.2500
Zn1 Zn 0.0000 0.3274 0.2500
Ag1 Ag 0.0000 0.2544 0.7500
Ag2 Ag 0.0000 0.4602 0.2500
```

Most intense lines, 2θ = 10–80°, low angle first:
d/Å  Rel. int.
2.893  26.7
2.819  100.0
2.688  18.6
2.306  30.2
2.185  22.2
2.113  23.1
2.097  25.0
1.803  13.0
1.558  16.9
1.519  13.4

Record 12
The following is a simulated XRD peak list of HfPaTe3. It was derived from a cell relaxed with PBE, using Cu Kα (λ = 1.5418 Å).
No peak broadening, texture or thermal motion is included.

Crystal structure
```
data_HfPaTe3
_cell_length_a 8.3708
_cell_length_b 3.9774
_cell_length_c 8.7093
_cell_angle_alpha 90.00
_cell_angle_beta 98.71
_cell_angle_gamma 90.00
_space_group_name_H-M_alt 'P 1 21/m 1'
_space_group_IT_number 11
_space_group_name_Hall '-P 2yb'
loop_
_atom_site_label
_atom_site_type_symbol
_atom_site_fract_x
_atom_site_fract_y
_atom_site_fract_z
Hf1 Hf 0.1199 0.2500 0.1145
Pa1 Pa 0.3778 0.7500 0.7177
Te1 Te 0.0910 0.2500 0.7743
Te2 Te 0.3016 0.2500 0.4378
Te3 Te 0.3715 0.7500 0.0918
```

Most intense lines, 2θ = 10–80°, low angle first:
d/Å  Rel. int.
3.608  27.7
2.867  100.0
2.810  35.7
2.670  43.0
2.592  52.7
2.511  28.4
2.316  61.9
1.989  34.1
1.578  23.5
1.434  37.5